Computed X-ray powder pattern of Sm2U3Se8 for Cu Kα (weighted mean of Kα1 and Kα2), from a structure optimized by DFT (GGA-PBE).
Peak positions follow from Bragg's law for the DFT cell and can differ from measured ones.

Most intense lines, 2θ from 15° to 90°, by angle:
- d = 4.066 Å, 21.86°, intensity 16, (0 2 1)
- d = 4.041 Å, 22.00°, intensity 14, (2 2 0)
- d = 2.486 Å, 36.13°, intensity 100, (0 0 2)
- d = 2.461 Å, 36.50°, intensity 19, (4 0 0)
- d = 1.748 Å, 52.33°, intensity 14, (4 0 2)
- d = 1.435 Å, 64.98°, intensity 21, (2 4 3)
- d = 1.426 Å, 65.45°, intensity 13, (6 4 1)
- d = 1.243 Å, 76.63°, intensity 8, (4 8 2)

Crystal structure
Cell: 9.8456 14.1502 4.9676 Å, 90.00 90.00 90.00°
Space group Cmmm (No. 65)
Inequivalent atoms, fractional coordinates:
1 Sm 0.0000 0.2328 0.0000 (multiplicity 4)
2 U 0.0000 0.5000 0.0000 (multiplicity 2)
3 U 0.2352 0.0000 0.5000 (multiplicity 4)
4 Se 0.0000 0.1252 0.5000 (multiplicity 4)
5 Se 0.0000 0.3852 0.5000 (multiplicity 4)
6 Se 0.2386 0.3785 0.0000 (multiplicity 8)